[1]
The following is a computed XRD peak list of Ba4SrAc. It was derived from a structure optimized by DFT (PBE), using CuKα.
No peak broadening, texture or thermal motion is included.

abc: 4.288 4.288 18.863
angles: 90.00 90.00 90.00
Space group P4/mmm (No. 123)
Inequivalent atoms, fractional coordinates:
Ba 0.000 0.000 0.153
Ba 0.500 0.500 0.330
Sr 0.000 0.000 0.500
Ac 0.500 0.500 0.000

Largest 12 diffraction maxima, most intense first, 2θ = 10–90°:
hkl	two_theta	d/Å	I (rel.)
1 0 3	25.14	3.543	1000
1 1 0	29.46	3.032	343
2 1 3	49.71	1.834	312
1 1 6	41.37	2.182	249
0 0 6	28.39	3.144	172
1 0 9	48.34	1.883	142
2 0 6	51.60	1.771	131
2 0 0	42.15	2.144	129
2 1 9	66.03	1.415	113
3 0 3	67.12	1.395	110
3 1 6	76.51	1.245	84
3 2 3	82.56	1.169	74


[2]
The following is a computed XRD peak list of InB4Ir4. It was derived from a structure optimized by DFT (PBE), using CuKα.
No peak broadening, texture or thermal motion is included.

abc: 7.621 7.621 4.092
angles: 90.00 90.00 90.00
Space group P4_2/n (No. 86, origin choice 2)
Inequivalent atoms, fractional coordinates:
In 0.250 0.250 0.250
B 0.049 0.582 0.636
Ir 0.090 0.858 0.635

Largest 12 diffraction maxima, most intense first, 2θ = 10–90°:
hkl	two_theta	d/Å	I (rel.)
1 2 1	34.24	2.619	1000
3 1 0	37.31	2.410	892
2 2 1	40.07	2.250	427
1 1 0	16.45	5.389	420
1 0 2	45.93	1.976	393
1 1 1	27.37	3.259	377
2 3 1	48.48	1.878	334
1 0 1	24.70	3.605	287
3 0 2	57.87	1.593	252
1 3 1	43.59	2.077	227
4 1 2	68.40	1.372	223
2 4 0	53.80	1.704	218


[3]
The following is a computed XRD peak list of Nd7Er3Sc. It was derived from a structure optimized by DFT (PBE), using CuKα.
No peak broadening, texture or thermal motion is included.

abc: 12.713 11.390 5.824
angles: 90.00 117.24 90.00
Space group C2/m (No. 12)
Inequivalent atoms, fractional coordinates:
Nd 0.000 0.000 0.000
Nd 0.189 0.286 0.689
Nd 0.214 0.500 0.213
Er 0.000 0.297 0.000
Er 0.000 0.500 0.500
Sc 0.000 0.000 0.500

Largest 12 diffraction maxima, most intense first, 2θ = 10–90°:
hkl	two_theta	d/Å	I (rel.)
3 3 -1	32.33	2.769	1000
2 0 -2	30.70	2.912	331
5 3 -3	55.63	1.652	261
0 4 0	31.42	2.847	162
3 1 -1	23.28	3.821	129
4 0 -1	28.21	3.163	126
2 4 -2	44.50	2.036	124
3 7 -1	61.39	1.510	116
4 0 0	31.66	2.826	100
1 1 0	11.03	8.023	98
6 0 -2	44.69	2.028	77
3 5 2	66.54	1.405	69


[4]
The following is a computed XRD peak list of Mg2AuO4. It was derived from a structure optimized by DFT (PBE), using CuKα.
No peak broadening, texture or thermal motion is included.

abc: 9.923 11.536 5.884
angles: 90.00 90.00 90.00
Space group Fdd2 (No. 43)
Inequivalent atoms, fractional coordinates:
Mg 0.048 0.279 0.000
Au 0.000 0.000 0.248
O 0.114 0.185 0.268
O 0.114 0.185 0.727

Largest 12 diffraction maxima, most intense first, 2θ = 10–90°:
hkl	two_theta	d/Å	I (rel.)
1 1 1	19.15	4.635	1000
3 1 1	31.99	2.797	439
4 2 2	50.67	1.802	408
2 2 0	23.65	3.761	389
1 3 1	29.17	3.062	374
0 2 2	34.21	2.621	281
3 3 1	39.05	2.307	258
0 4 0	31.01	2.884	240
2 0 2	35.47	2.531	170
2 4 2	47.82	1.902	152
1 5 1	43.09	2.099	134
4 4 0	48.40	1.881	122


[5]
The following is a computed XRD peak list of CdBPt3. It was derived from a structure optimized by DFT (PBE), using CuKα.
No peak broadening, texture or thermal motion is included.

abc: 5.5902 5.5902 5.6455
angles: 90.00 90.00 120.00
Space group P-62m (No. 189)
Inequivalent atoms, fractional coordinates:
Cd 0.0000 0.0000 0.0000
Cd 0.0000 0.0000 0.5000
B 0.3333 0.6667 0.0000
Pt 0.0000 0.4700 0.2559

Largest 12 diffraction maxima, most intense first, 2θ = 10–90°:
hkl	two_theta	d/Å	I (rel.)
2 0 0	37.14	2.421	1000
1 0 2	36.86	2.439	410
2 0 2	49.61	1.838	392
1 1 2	45.68	1.986	315
0 0 2	31.70	2.823	236
2 0 4	78.44	1.219	227
2 1 2	60.28	1.535	221
3 1 2	78.96	1.213	183
2 2 0	66.96	1.398	157
1 1 0	32.02	2.795	88
4 0 0	79.13	1.210	88
2 2 2	75.98	1.252	85


[6]
The following is a computed XRD peak list of Pm4AlPd. It was derived from a structure optimized by DFT (PBE), using CuKα.
No peak broadening, texture or thermal motion is included.

abc: 8.910 14.163 5.892
angles: 90.00 114.26 90.00
Space group C2/c (No. 15)
Inequivalent atoms, fractional coordinates:
Pm 0.120 0.189 0.081
Pm 0.208 0.428 0.330
Al 0.000 0.378 0.750
Pd 0.000 0.002 0.750

Largest 12 diffraction maxima, most intense first, 2θ = 10–90°:
hkl	two_theta	d/Å	I (rel.)
3 1 -1	30.92	2.892	1000
0 4 1	30.23	2.956	979
2 2 1	35.09	2.558	813
1 5 0	33.51	2.674	784
2 4 -1	33.21	2.698	744
1 1 0	12.55	7.055	653
1 1 1	24.15	3.686	482
1 3 -1	24.52	3.631	446
1 1 -2	31.12	2.874	420
1 3 -2	36.03	2.493	415
5 5 -2	62.58	1.484	408
0 2 2	35.75	2.512	405